Record 1
Calculated powder XRD pattern of Nd3Al2Ga3 for a wavelength of 1.5418 Å, from a crystal structure in Alexandria, relaxed with GGA-PBE.
Lines closer than 0.1° are merged.

Most intense lines, 2θ = 10–90°, sorted by position:
23.03°, 3.862 Å, I 33
27.87°, 3.201 Å, I 75
31.36°, 2.852 Å, I 65
31.74°, 2.819 Å, I 97
31.88°, 2.807 Å, I 100
34.16°, 2.625 Å, I 48
38.99°, 2.310 Å, I 39
41.83°, 2.160 Å, I 46
42.77°, 2.114 Å, I 68
60.77°, 1.524 Å, I 27

Atomic structure:
abc: 6.097 6.097 15.748
angles: 90.00 90.00 138.51
Fractional positions:
Nd1 0.059 0.941 0.750
Nd2 0.359 0.641 0.595
Nd3 0.359 0.641 0.905
Nd4 0.641 0.359 0.095
Nd5 0.641 0.359 0.405
Nd6 0.941 0.059 0.250
Al1 0.349 0.651 0.118
Al2 0.349 0.651 0.382
Al3 0.651 0.349 0.618
Al4 0.651 0.349 0.882
Ga1 0.082 0.918 0.552
Ga2 0.082 0.918 0.948
Ga3 0.211 0.789 0.250
Ga4 0.789 0.211 0.750
Ga5 0.918 0.082 0.052
Ga6 0.918 0.082 0.448

Record 2
Calculated powder XRD pattern of Nd4AlGa2 for a wavelength of 1.5418 Å, from a crystal structure in Alexandria, relaxed with GGA-PBE.
Lines closer than 0.1° are merged.

Most intense lines, 2θ = 10–90°, sorted by position:
24.22°, 3.675 Å, I 43
34.50°, 2.599 Å, I 100
34.54°, 2.597 Å, I 20
42.59°, 2.123 Å, I 10
49.61°, 1.838 Å, I 21
55.97°, 1.643 Å, I 12
61.74°, 1.502 Å, I 15
61.88°, 1.499 Å, I 29
72.81°, 1.299 Å, I 11
83.00°, 1.163 Å, I 6

Atomic structure:
abc: 8.219 8.219 7.342
angles: 116.50 116.50 78.66
Fractional positions:
Nd1 0.248 0.248 0.257
Nd2 0.248 0.248 0.740
Nd3 0.248 0.752 0.000
Nd4 0.249 0.751 0.500
Nd5 0.751 0.249 0.500
Nd6 0.752 0.248 0.000
Nd7 0.752 0.752 0.260
Nd8 0.752 0.752 0.743
Al1 0.496 0.496 0.245
Al2 0.504 0.504 0.755
Ga1 0.000 0.500 0.000
Ga2 0.002 0.002 0.752
Ga3 0.500 0.000 0.000
Ga4 0.998 0.998 0.248

Record 3
Calculated powder XRD pattern of Nd2Al3Ga4 for a wavelength of 1.5418 Å, from a crystal structure in Alexandria, relaxed with GGA-PBE.
Lines closer than 0.1° are merged.

Most intense lines, 2θ = 10–90°, sorted by position:
19.60°, 4.530 Å, I 18
32.15°, 2.784 Å, I 40
34.45°, 2.603 Å, I 100
35.75°, 2.512 Å, I 44
36.38°, 2.469 Å, I 18
38.01°, 2.367 Å, I 43
38.31°, 2.349 Å, I 20
49.39°, 1.845 Å, I 16
56.60°, 1.626 Å, I 29
58.81°, 1.570 Å, I 17

Atomic structure:
abc: 8.331 8.331 7.959
angles: 90.00 90.00 138.60
Fractional positions:
Nd1 0.113 0.887 0.914
Nd2 0.387 0.613 0.414
Nd3 0.613 0.387 0.586
Nd4 0.887 0.113 0.086
Al1 0.000 0.000 0.500
Al2 0.031 0.469 0.750
Al3 0.469 0.031 0.250
Al4 0.500 0.500 0.000
Al5 0.531 0.969 0.750
Al6 0.969 0.531 0.250
Ga1 0.181 0.819 0.535
Ga2 0.197 0.303 0.750
Ga3 0.303 0.197 0.250
Ga4 0.319 0.681 0.035
Ga5 0.681 0.319 0.965
Ga6 0.697 0.803 0.750
Ga7 0.803 0.697 0.250
Ga8 0.819 0.181 0.465